Simulated PXRD pattern
Compound: Al2CuMo
Radiation: a wavelength of 1.5418 Å
Structure: the PBE geometry in the Materials Project
Peak positions follow from Bragg's law for the DFT cell and can differ from measured ones.

The 10 most intense peaks (15° ≤ 2θ ≤ 90°), in order of falling intensity:
- 40.34°, I 100
- 47.20°, I 31
- 22.71°, I 29
- 32.89°, I 23
- 83.04°, I 23
- 68.32°, I 20
- 46.37°, I 16
- 81.83°, I 12
- 52.99°, I 11
- 87.20°, I 10

Atomic structure:
```
Al2CuMo
1.0
3.852 0.000 0.000
0.000 3.852 0.000
0.000 0.000 7.832
Al Cu Mo
4 2 2
Cartesian
0.000 1.926 1.958
0.000 1.926 5.874
1.926 0.000 1.958
1.926 0.000 5.874
0.000 0.000 0.000
1.926 1.926 3.916
0.000 0.000 3.916
1.926 1.926 0.000
```

***

Simulated PXRD pattern
Compound: Sr6MgTe8O22
Radiation: a wavelength of 1.5418 Å
Structure: the PBE geometry in the Materials Project
Peak positions follow from Bragg's law for the DFT cell and can differ from measured ones.

The 10 most intense peaks (15° ≤ 2θ ≤ 90°), in order of falling intensity:
- 28.36°, I 100
- 27.53°, I 84
- 28.13°, I 66
- 27.25°, I 59
- 26.25°, I 56
- 28.83°, I 54
- 18.29°, I 30
- 37.36°, I 29
- 19.72°, I 28
- 40.63°, I 27

Atomic structure:
```
Sr6MgTe8O22
1.0
7.643 0.000 0.000
-3.096 8.954 0.000
-1.305 -2.161 9.700
Sr Mg Te O
6 1 8 22
Cartesian
0.000 0.000 0.000
-2.029 3.248 5.181
-2.533 7.065 5.873
2.181 1.368 4.576
1.579 5.093 5.449
3.859 2.032 0.687
-1.691 5.816 2.928
0.390 3.259 2.323
0.089 1.602 7.733
-0.859 5.359 8.241
0.027 7.914 2.305
3.376 5.464 2.207
4.579 -0.332 6.922
3.334 3.292 8.109
6.055 0.163 3.401
-2.405 4.835 7.233
-0.231 1.880 3.593
-0.436 4.624 3.814
1.304 1.888 1.240
-1.182 7.722 3.848
0.923 0.424 6.525
-1.750 6.774 9.147
0.091 3.161 6.673
-0.165 6.383 6.802
2.039 3.567 3.285
1.948 1.971 8.669
1.682 7.426 3.286
3.168 3.045 6.227
2.318 4.848 8.253
4.632 1.234 4.028
4.535 -0.512 8.781
5.780 0.506 1.582
4.726 4.187 1.806
2.759 7.298 6.519
4.073 5.585 4.023
4.599 6.878 1.678
5.774 1.207 6.825
```

***

Simulated PXRD pattern
Compound: SrRuO3
Radiation: a wavelength of 1.5418 Å
Structure: the PBE geometry in the Materials Project
Peak positions follow from Bragg's law for the DFT cell and can differ from measured ones.

The 10 most intense peaks (15° ≤ 2θ ≤ 90°), in order of falling intensity:
- 24.27°, I 100
- 26.88°, I 77
- 36.53°, I 69
- 44.34°, I 40
- 34.59°, I 40
- 57.42°, I 32
- 63.25°, I 28
- 49.72°, I 26
- 56.08°, I 20
- 61.35°, I 15

Atomic structure:
```
SrRuO3
1.0
3.667 0.000 0.000
0.000 3.667 0.000
0.000 0.000 6.634
Sr Ru O
1 1 3
Cartesian
0.000 0.000 0.000
0.000 0.000 3.317
0.000 1.834 3.317
1.834 0.000 3.317
1.834 1.834 0.000
```

***

Simulated PXRD pattern
Compound: Al3FeSi2
Radiation: a wavelength of 1.5418 Å
Structure: the PBE geometry in the Materials Project
Peak positions follow from Bragg's law for the DFT cell and can differ from measured ones.

The 10 most intense peaks (15° ≤ 2θ ≤ 90°), in order of falling intensity:
- 47.37°, I 100
- 43.61°, I 88
- 43.97°, I 70
- 34.37°, I 65
- 48.74°, I 58
- 18.71°, I 56
- 20.70°, I 55
- 42.11°, I 35
- 74.21°, I 29
- 78.02°, I 28

Atomic structure:
```
Al3FeSi2
1.0
6.066 0.000 0.000
0.000 6.072 0.000
0.000 0.000 9.484
Al Fe Si
12 4 8
Cartesian
0.000 0.000 0.000
0.000 0.000 4.742
0.852 2.225 1.292
0.852 3.847 6.034
2.181 0.811 6.034
2.181 5.261 1.292
3.033 3.036 0.000
3.033 3.036 4.742
3.884 0.811 8.192
3.884 5.261 3.450
5.214 2.225 3.450
5.214 3.847 8.192
0.000 0.068 2.371
0.000 6.005 7.113
3.033 2.968 7.113
3.033 3.104 2.371
0.987 1.997 8.019
0.987 4.076 3.277
2.045 1.039 3.277
2.045 5.033 8.019
4.020 1.039 1.465
4.020 5.033 6.206
5.078 1.997 6.206
5.078 4.076 1.465
```

***

Simulated PXRD pattern
Compound: BaCu2P2O8
Radiation: a wavelength of 1.5418 Å
Structure: the PBE geometry in the Materials Project
Peak positions follow from Bragg's law for the DFT cell and can differ from measured ones.

The 10 most intense peaks (15° ≤ 2θ ≤ 90°), in order of falling intensity:
- 29.89°, I 100
- 22.43°, I 68
- 23.37°, I 45
- 22.75°, I 44
- 23.20°, I 44
- 21.31°, I 40
- 33.65°, I 31
- 33.44°, I 30
- 30.27°, I 25
- 47.25°, I 23

Atomic structure:
```
BaCu2P2O8
1.0
9.354 0.000 0.000
-4.023 8.483 0.000
-2.172 -4.479 9.473
Ba Cu P O
4 8 8 32
Cartesian
1.167 2.070 0.129
0.302 -0.076 4.760
2.857 4.080 4.713
1.992 1.934 9.344
-3.199 4.302 2.881
-3.665 3.079 7.684
0.335 5.322 1.962
-0.390 3.766 6.621
3.549 0.238 2.852
2.824 -1.318 7.511
6.824 0.925 1.789
6.359 -0.298 6.593
-2.121 7.203 1.331
-3.139 5.055 5.994
-0.347 3.082 3.461
-1.376 1.018 8.257
4.535 2.986 1.216
3.506 0.922 6.013
6.298 -1.051 3.479
5.280 -3.199 8.142
-3.007 5.998 1.590
-3.891 4.997 4.642
-4.654 3.281 9.388
-0.900 1.733 3.014
-2.911 1.304 7.985
-4.191 4.958 7.150
-1.091 -0.077 7.169
-1.317 4.294 3.322
-2.302 3.732 6.268
1.645 -0.105 2.346
1.025 4.829 0.162
-0.572 6.979 1.497
1.726 -2.152 6.012
0.888 3.499 2.564
0.206 2.925 4.916
-0.488 2.251 8.133
3.647 1.753 1.340
2.953 1.079 4.558
2.271 0.505 6.909
1.433 6.157 3.461
3.731 -2.975 7.977
2.134 -0.825 9.311
1.514 4.109 7.127
5.461 0.272 3.205
4.476 -0.290 6.151
4.250 4.081 2.305
7.351 -0.954 2.324
6.071 2.700 1.488
4.059 2.271 6.460
7.813 0.723 0.085
7.050 -0.993 4.831
6.166 -1.994 7.883
```

***

Simulated PXRD pattern
Compound: LiCuS
Radiation: a wavelength of 1.5418 Å
Structure: the PBE geometry in the Materials Project
Peak positions follow from Bragg's law for the DFT cell and can differ from measured ones.

The 10 most intense peaks (15° ≤ 2θ ≤ 90°), in order of falling intensity:
- 16.67°, I 100
- 33.68°, I 79
- 26.29°, I 36
- 34.04°, I 35
- 28.39°, I 32
- 33.76°, I 27
- 54.17°, I 23
- 41.38°, I 21
- 41.25°, I 18
- 33.94°, I 16

Atomic structure:
```
LiCuS
1.0
6.073 0.000 0.000
-0.024 6.077 0.000
-3.026 -3.013 5.505
Li Cu S
4 4 4
Cartesian
0.000 0.000 0.000
0.020 3.056 0.332
-0.024 0.026 3.086
3.023 0.023 2.743
-1.503 3.069 2.913
2.995 4.561 0.127
3.028 1.578 0.167
1.545 3.051 2.908
-1.664 -1.346 4.295
1.364 4.719 1.544
1.656 1.389 4.289
4.690 1.409 1.539
```

***

Simulated PXRD pattern
Compound: La5Si3
Radiation: a wavelength of 1.5418 Å
Structure: the PBE geometry in the Materials Project
Peak positions follow from Bragg's law for the DFT cell and can differ from measured ones.

The 10 most intense peaks (15° ≤ 2θ ≤ 90°), in order of falling intensity:
- 31.58°, I 100
- 25.68°, I 59
- 34.17°, I 46
- 50.98°, I 34
- 35.45°, I 33
- 52.72°, I 20
- 55.39°, I 19
- 47.25°, I 16
- 67.45°, I 15
- 30.18°, I 14

Atomic structure:
```
La5Si3
1.0
-4.004 4.004 6.949
4.004 -4.004 6.949
4.004 4.004 -6.949
La Si
10 6
Cartesian
0.000 0.000 0.000
5.440 1.436 -2.043
1.436 2.568 -2.043
5.440 1.436 2.043
1.436 2.568 2.043
0.000 0.000 6.949
2.568 1.436 4.906
-1.436 2.568 4.906
2.568 1.436 8.993
-1.436 2.568 8.993
3.100 0.904 0.000
0.000 0.000 3.475
3.100 -0.904 6.949
0.904 4.908 0.000
0.000 0.000 10.424
0.904 3.100 6.949
```

***

Simulated PXRD pattern
Compound: V3Cr
Radiation: a wavelength of 1.5418 Å
Structure: the PBE geometry in the Materials Project
Peak positions follow from Bragg's law for the DFT cell and can differ from measured ones.

The 3 most intense peaks (15° ≤ 2θ ≤ 90°), in order of falling intensity:
- 43.32°, I 100
- 79.48°, I 28
- 62.93°, I 15

Atomic structure:
```
V3Cr
1.0
5.907 0.000 0.000
0.000 5.907 0.000
0.000 0.000 5.907
V Cr
12 4
Cartesian
0.000 0.000 0.000
0.000 2.954 2.954
1.477 1.477 1.477
1.477 1.477 4.431
1.477 4.431 1.477
1.477 4.431 4.431
2.954 0.000 2.954
2.954 2.954 0.000
4.431 1.477 1.477
4.431 1.477 4.431
4.431 4.431 1.477
4.431 4.431 4.431
0.000 0.000 2.954
0.000 2.954 0.000
2.954 0.000 0.000
2.954 2.954 2.954
```

***

Simulated PXRD pattern
Compound: Th2CuSi3
Radiation: a wavelength of 1.5418 Å
Structure: the PBE geometry in the Materials Project
Peak positions follow from Bragg's law for the DFT cell and can differ from measured ones.

The 10 most intense peaks (15° ≤ 2θ ≤ 90°), in order of falling intensity:
- 33.26°, I 100
- 24.79°, I 51
- 43.66°, I 31
- 55.96°, I 23
- 73.55°, I 21
- 64.08°, I 20
- 51.58°, I 15
- 21.81°, I 14
- 49.32°, I 11
- 44.47°, I 10

Atomic structure:
```
Th2CuSi3
1.0
4.147 0.000 0.000
-2.073 3.591 0.000
0.000 0.000 8.148
Th Cu Si
2 1 3
Cartesian
0.000 0.000 2.001
0.000 0.000 6.148
0.000 2.394 4.074
0.000 2.394 0.000
2.073 1.197 0.000
2.073 1.197 4.074
```